# Ca4Ga
Calculated PXRD pattern, Cu Kα (weighted mean of Kα1 and Kα2). Input: the PBE geometry in Alexandria.

Cell and atoms:
abc: 15.9598 15.2951 11.2257
angles: 90.00 129.36 90.00
Space group C2/c (No. 15)
Symmetry-distinct sites (fractional):
Ca 0.0000 0.1273 0.2500 [4 per cell]
Ca 0.0292 0.3356 0.0902 [8 per cell]
Ca 0.0517 0.1037 0.9596 [8 per cell]
Ca 0.1144 0.4476 0.7653 [8 per cell]
Ca 0.2106 0.2201 0.8041 [8 per cell]
Ca 0.2444 0.0270 0.3700 [8 per cell]
Ca 0.2500 0.2500 0.5000 [4 per cell]
Ga 0.0000 0.2764 0.7500 [4 per cell]
Ga 0.1866 0.0759 0.5886 [8 per cell]

Peak list (10 most intense, 2θ from 5° to 70°, low angle first)
2theta  I/Imax  h k l
16.09  30.5  2 2 -1
16.81  27.9  1 1 1
27.45  48.5  2 4 0
28.67  40.8  5 1 -2
31.22  24.4  4 2 0
32.15  38.9  1 3 -3
33.11  42.2  0 2 3
33.35  51.8  1 5 1
34.06  100.0  5 3 -3
34.15  26.3  4 2 -4

=====

# Ca28Ga11
Calculated PXRD pattern, Cu Kα (weighted mean of Kα1 and Kα2). Input: the PBE geometry in Alexandria.

Cell and atoms:
abc: 5.3120 61.0688 7.4386
angles: 90.00 90.00 90.00
Space group Imm2 (No. 44)
Symmetry-distinct sites (fractional):
Ca 0.0000 0.0000 0.0000 [2 per cell]
Ca 0.0000 0.0299 0.5960 [4 per cell]
Ca 0.0000 0.0829 0.9405 [4 per cell]
Ca 0.0000 0.0965 0.4689 [4 per cell]
Ca 0.0000 0.1470 0.8469 [4 per cell]
Ca 0.0000 0.1823 0.4592 [4 per cell]
Ca 0.0000 0.2062 0.8872 [4 per cell]
Ca 0.0000 0.2622 0.5683 [4 per cell]
Ca 0.0000 0.2759 0.0341 [4 per cell]
Ca 0.0000 0.3240 0.6433 [4 per cell]
Ca 0.0000 0.3629 0.0265 [4 per cell]
Ca 0.0000 0.3828 0.5839 [4 per cell]
Ca 0.0000 0.4403 0.8840 [4 per cell]
Ca 0.0000 0.4566 0.4293 [4 per cell]
Ca 0.0000 0.5000 0.8150 [2 per cell]
Ga 0.0000 0.0436 0.1987 [4 per cell]
Ga 0.0000 0.1393 0.2514 [4 per cell]
Ga 0.0000 0.2273 0.2712 [4 per cell]
Ga 0.0000 0.3199 0.2363 [4 per cell]
Ga 0.0000 0.4093 0.2166 [4 per cell]
Ga 0.0000 0.5000 0.2225 [2 per cell]

Peak list (10 most intense, 2θ from 5° to 70°, low angle first)
2theta  I/Imax  h k l
19.96  36.4  0 11 1
20.55  19.3  1 0 1
29.08  40.1  1 14 1
29.65  32.4  1 3 2
30.03  19.2  1 17 0
32.24  27.4  0 22 0
33.55  100.0  1 11 2
33.75  54.7  2 0 0
38.54  31.2  1 22 1
60.24  16.8  3 11 2